Structure and theoretical powder XRD pattern of LaSe2 (a GGA-PBE-relaxed structure; Cu Ka).
Intensities are scaled so that the largest is 100.

Principal peaks in the range 2θ = 15–90°, in order of rising 2θ:
2theta  intensity  hkl
23.40  36.9  1 0 1
29.91  33.2  1 1 0
30.81  36.0  0 0 3
31.66  73.4  1 1 1
36.48  100.0  1 1 2
37.60  53.0  1 0 3
42.80  58.1  2 0 0
53.66  29.5  2 0 3
58.27  29.3  2 1 3
74.25  24.7  3 1 2

```
data_LaSe2
_chemical_formula_sum 'La2 Se4'
_cell_length_a 4.225
_cell_length_b 4.225
_cell_length_c 8.705
_cell_angle_alpha 90.00
_cell_angle_beta 90.00
_cell_angle_gamma 90.00
_symmetry_space_group_name_H-M 'P 4/n m m'
_symmetry_Int_Tables_number 129
loop_
_symmetry_equiv_pos_as_xyz
'x,y,z'
'-x,-y,-z'
'-y+1/2,x,z'
'y+1/2,-x,-z'
'-x+1/2,-y+1/2,z'
'x+1/2,y+1/2,-z'
'y,-x+1/2,z'
'-y,x+1/2,-z'
'x+1/2,-y,-z'
'-x+1/2,y,z'
'-y,-x,-z'
'y,x,z'
'-x,y+1/2,-z'
'x,-y+1/2,z'
'y+1/2,x+1/2,-z'
'-y+1/2,-x+1/2,z'
loop_
_atom_site_label
_atom_site_type_symbol
_atom_site_fract_x
_atom_site_fract_y
_atom_site_fract_z
La1 La 0.250 0.250 0.224
Se1 Se 0.250 0.250 0.865
Se2 Se 0.250 0.750 0.500
```